Calculated powder X-ray diffraction pattern of CsScBr3 for Cu Kα, 1.54184 Å, from the GGA-PBE geometry in Alexandria.
Kinematic intensities with the Lorentz-polarization factor, no thermal factor.

Main lines, by intensity (2θ from 10° to 90°):
2θ = 28.95°, I = 100.0, hkl 2 1 1
2θ = 28.39°, I = 93.4, hkl 1 1 3
2θ = 27.93°, I = 83.0, hkl 2 0 4
2θ = 30.39°, I = 50.0, hkl 2 1 2
2θ = 29.56°, I = 43.3, hkl 3 0 2
2θ = 31.70°, I = 41.5, hkl 0 0 6
2θ = 44.05°, I = 33.3, hkl 0 2 0
2θ = 35.71°, I = 27.9, hkl 3 1 1

Atomic structure:
Unit cell a=9.704 b=4.112 c=16.939 alpha=90.00 beta=90.00 gamma=90.00
Space group Pnma (No. 62)
Symmetry-distinct sites (fractional):
1 Cs 0.061 0.250 0.170 (multiplicity 4)
2 Sc 0.124 0.750 0.453 (multiplicity 4)
3 Br 0.041 0.750 0.608 (multiplicity 4)
4 Br 0.193 0.750 0.998 (multiplicity 4)
5 Br 0.245 0.250 0.808 (multiplicity 4)

***

Calculated powder X-ray diffraction pattern of Cs3Sc2Br9 for Cu Kα, 1.54184 Å, from the GGA-PBE geometry in Alexandria.
Kinematic intensities with the Lorentz-polarization factor, no thermal factor.

Main lines, by intensity (2θ from 10° to 90°):
2θ = 29.45°, I = 100.0, hkl 2 0 3
2θ = 27.65°, I = 86.1, hkl 2 0 2
2θ = 31.81°, I = 71.7, hkl 2 0 4
2θ = 26.88°, I = 53.6, hkl 0 0 6
2θ = 46.10°, I = 51.0, hkl 2 2 0
2θ = 54.17°, I = 42.3, hkl 2 2 6
2θ = 34.63°, I = 23.0, hkl 2 0 5
2θ = 49.09°, I = 22.8, hkl 2 0 9

Atomic structure:
Unit cell a=7.8762 b=7.8762 c=19.9039 alpha=90.00 beta=90.00 gamma=120.00
Space group P6_3/mmc (No. 194)
Symmetry-distinct sites (fractional):
1 Cs 0.0000 0.0000 0.2500 (multiplicity 2)
2 Cs 0.3333 0.6667 0.0712 (multiplicity 4)
3 Sc 0.3333 0.6667 0.6574 (multiplicity 4)
4 Br 0.0262 0.5131 0.7500 (multiplicity 6)
5 Br 0.1718 0.3436 0.5907 (multiplicity 12)

***

What did the first record say?
Calculated powder X-ray diffraction pattern of CsScBr3 for Cu Kα, 1.54184 Å, from the GGA-PBE geometry in Alexandria.
Kinematic intensities with the Lorentz-polarization factor, no thermal factor.

Main lines, by intensity (2θ from 10° to 90°):
2θ = 28.95°, I = 100.0, hkl 2 1 1
2θ = 28.39°, I = 93.4, hkl 1 1 3
2θ = 27.93°, I = 83.0, hkl 2 0 4
2θ = 30.39°, I = 50.0, hkl 2 1 2
2θ = 29.56°, I = 43.3, hkl 3 0 2
2θ = 31.70°, I = 41.5, hkl 0 0 6
2θ = 44.05°, I = 33.3, hkl 0 2 0
2θ = 35.71°, I = 27.9, hkl 3 1 1

Atomic structure:
Unit cell a=9.704 b=4.112 c=16.939 alpha=90.00 beta=90.00 gamma=90.00
Space group Pnma (No. 62)
Symmetry-distinct sites (fractional):
1 Cs 0.061 0.250 0.170 (multiplicity 4)
2 Sc 0.124 0.750 0.453 (multiplicity 4)
3 Br 0.041 0.750 0.608 (multiplicity 4)
4 Br 0.193 0.750 0.998 (multiplicity 4)
5 Br 0.245 0.250 0.808 (multiplicity 4)

***

Question: Which formula does entry 2 have?
Answer: Cs3Sc2Br9